The following is a computed powder diffraction line list of CsHfMo2O8. It was derived from a crystal structure in Alexandria, relaxed with PBE+U, using Cu Kα X-rays.
Peak positions follow from Bragg's law for the DFT cell and can differ from measured ones.

Main lines, sorted by position (15° ≤ 2θ ≤ 90°):
Position (°2θ), I/Imax
22.0, 100
30.8, 38
32.0, 21
38.2, 15
45.0, 13
49.8, 21
51.4, 11
55.5, 9

Crystal structure
a b c (Å): 9.581 9.581 9.581
angles (deg): 35.33 35.33 35.33
Atoms (fractional coordinates):
1 Cs 0.000 0.000 0.000
2 Hf 0.500 0.500 0.500
3 Mo 0.234 0.234 0.234
4 Mo 0.766 0.766 0.766
5 O 0.126 0.561 0.679
6 O 0.300 0.300 0.300
7 O 0.321 0.874 0.439
8 O 0.439 0.321 0.874
9 O 0.561 0.679 0.126
10 O 0.679 0.126 0.561
11 O 0.700 0.700 0.700
12 O 0.874 0.439 0.321